Simulated XRD peak list
Compound: ErMnIrO6
Radiation: Cu Kα (weighted mean of Kα1 and Kα2)
Structure: a DFT-relaxed cell (PBE+U, Alexandria)

Structure:
```
data_ErMnIrO6
_symmetry_space_group_name_H-M 'P -3 1 c'
_symmetry_Int_Tables_number 163
_symmetry_space_group_name_Hall '-P 3 2c'
_cell_length_a 5.3836
_cell_length_b 5.3836
_cell_length_c 8.8084
_cell_angle_alpha 90.00
_cell_angle_beta 90.00
_cell_angle_gamma 120.00
loop_
_atom_site_label
_atom_site_fract_x
_atom_site_fract_y
_atom_site_fract_z
Er1 0.3333 0.6667 0.2500
Mn1 0.0000 0.0000 0.0000
Ir1 0.3333 0.6667 0.7500
O1 0.0398 0.3639 0.6259
```

Top 10 peaks for 10° ≤ 2θ ≤ 90°, sorted by position:
19.04 deg, I 35
20.16 deg, I 59
27.87 deg, I 100
33.28 deg, I 76
39.22 deg, I 70
43.95 deg, I 29
53.78 deg, I 60
56.22 deg, I 28
59.48 deg, I 25
63.47 deg, I 17